No. 1
Sb3H2Rh6: simulated powder diffractogram (λ = 1.5418 Å (Cu Kα)), based on the PBE geometry in Alexandria.
Kinematic intensities with the Lorentz-polarization factor, no thermal factor.

Most intense lines, 2θ = 10–80°, by intensity:
2θ = 41.5°, intensity 100; 2θ = 46.0°, intensity 57; 2θ = 33.2°, intensity 41; 2θ = 36.5°, intensity 36; 2θ = 37.8°, intensity 20; 2θ = 65.0°, intensity 20; 2θ = 22.9°, intensity 19; 2θ = 67.1°, intensity 18; 2θ = 43.3°, intensity 17; 2θ = 61.0°, intensity 10

Structure:
```
Sb3H2Rh6
1.0
-1.973 1.973 10.447
1.973 -1.973 10.447
1.973 1.973 -10.447
Sb H Rh
3 2 6
Direct
0.000 0.000 0.000
0.177 0.177 0.000
0.823 0.823 0.000
0.419 0.419 0.000
0.581 0.581 0.000
0.090 0.590 0.500
0.298 0.298 0.000
0.410 0.910 0.500
0.590 0.090 0.500
0.702 0.702 0.000
0.910 0.410 0.500
```

No. 2
Sm2SbHRh6: simulated powder diffractogram (λ = 1.5418 Å (Cu Kα)), based on the PBE geometry in Alexandria.
Kinematic intensities with the Lorentz-polarization factor, no thermal factor.

Most intense lines, 2θ = 10–80°, by intensity:
2θ = 40.7°, intensity 100; 2θ = 34.7°, intensity 60; 2θ = 35.5°, intensity 59; 2θ = 59.0°, intensity 39; 2θ = 28.5°, intensity 20; 2θ = 71.2°, intensity 12; 2θ = 44.3°, intensity 11; 2θ = 69.7°, intensity 11; 2θ = 60.1°, intensity 10; 2θ = 75.1°, intensity 10

Structure:
```
Sm2SbHRh6
1.0
-3.081 3.191 4.429
3.081 -3.191 4.429
3.081 3.191 -4.429
Sm Sb H Rh
2 1 1 6
Direct
0.246 0.246 0.000
0.754 0.754 0.000
0.000 0.500 0.500
0.500 0.000 0.500
0.281 0.781 0.500
0.286 0.224 0.510
0.286 0.776 0.061
0.714 0.224 0.939
0.714 0.776 0.490
0.719 0.219 0.500
```